1.
For K3Tl3InO8, a structure optimized by DFT (PBE) gives the simulated powder XRD pattern in this record (Cu Kα (λ = 1.5418 Å)).
Kinematic intensities with the Lorentz-polarization factor, no thermal factor.

Main lines, sorted by position (5 to 70 degrees two-theta):
13.99°, I = 100.0; 28.19°, I = 26.1; 30.51°, I = 37.9; 31.60°, I = 52.8; 35.69°, I = 69.3; 45.29°, I = 19.2; 49.15°, I = 24.5; 53.51°, I = 21.4

Crystal structure
Lattice parameters (Å, degrees): 6.852 6.852 7.466 117.32 117.32 59.94
Positions (direct):
K1 0.000 0.000 0.000
K2 0.000 0.500 0.000
K3 0.500 0.000 0.000
Tl1 0.000 0.500 0.500
Tl2 0.500 0.000 0.500
Tl3 0.500 0.500 0.500
In1 0.000 0.000 0.500
O1 0.221 0.221 0.683
O2 0.222 0.741 0.683
O3 0.259 0.778 0.317
O4 0.268 0.268 0.305
O5 0.732 0.732 0.695
O6 0.741 0.222 0.683
O7 0.778 0.259 0.317
O8 0.779 0.779 0.317

***

2.
For PrEuErLu, a structure optimized by DFT (PBE) gives the simulated powder XRD pattern in this record (Cu Kα (λ = 1.5418 Å)).
Kinematic intensities with the Lorentz-polarization factor, no thermal factor.

Main lines, sorted by position (5 to 70 degrees two-theta):
18.86°, I = 0.5; 31.04°, I = 100.0; 44.48°, I = 18.7; 55.23°, I = 39.5; 64.72°, I = 12.3

Crystal structure
Lattice parameters (Å, degrees): 5.762 5.762 5.762 60.00 60.00 60.00
Positions (direct):
Pr1 0.000 0.000 0.000
Eu1 0.250 0.250 0.250
Er1 0.500 0.500 0.500
Lu1 0.750 0.750 0.750

***

3.
For LaCe2TlIr, a structure optimized by DFT (PBE) gives the simulated powder XRD pattern in this record (Cu Kα (λ = 1.5418 Å)).
Kinematic intensities with the Lorentz-polarization factor, no thermal factor.

Main lines, sorted by position (5 to 70 degrees two-theta):
22.58°, I = 50.6; 28.05°, I = 87.4; 31.07°, I = 59.5; 33.19°, I = 100.0; 46.10°, I = 80.6; 47.65°, I = 36.6; 56.20°, I = 25.0; 57.98°, I = 40.9

Crystal structure
Lattice parameters (Å, degrees): 5.398 5.398 5.757 90.00 90.00 90.00
Positions (direct):
La1 0.000 0.000 0.000
Ce1 0.000 0.500 0.499
Ce2 0.500 0.000 0.499
Tl1 0.500 0.500 0.003
Ir1 0.000 0.000 0.500

***

4.
For Mn10FeN8, a structure optimized by DFT (PBE) gives the simulated powder XRD pattern in this record (Cu Kα (λ = 1.5418 Å)).
Kinematic intensities with the Lorentz-polarization factor, no thermal factor.

Main lines, sorted by position (5 to 70 degrees two-theta):
13.85°, I = 17.1; 27.91°, I = 21.7; 36.21°, I = 12.5; 37.85°, I = 25.2; 38.92°, I = 100.0; 46.02°, I = 32.0; 51.07°, I = 20.1; 61.05°, I = 10.3

Crystal structure
Lattice parameters (Å, degrees): 8.210 8.210 7.153 115.70 115.70 27.80
Positions (direct):
Mn1 0.001 0.001 0.261
Mn2 0.163 0.163 0.664
Mn3 0.200 0.200 0.200
Mn4 0.365 0.365 0.634
Mn5 0.367 0.367 0.096
Mn6 0.633 0.633 0.904
Mn7 0.635 0.635 0.366
Mn8 0.800 0.800 0.800
Mn9 0.837 0.837 0.336
Mn10 0.999 0.999 0.739
Fe1 0.500 0.500 0.500
N1 0.139 0.139 0.912
N2 0.141 0.141 0.370
N3 0.330 0.330 0.329
N4 0.499 0.499 0.771
N5 0.501 0.501 0.229
N6 0.670 0.670 0.671
N7 0.859 0.859 0.630
N8 0.861 0.861 0.088

***

5.
For PmGa3Ru2, a structure optimized by DFT (PBE) gives the simulated powder XRD pattern in this record (Cu Kα (λ = 1.5418 Å)).
Kinematic intensities with the Lorentz-polarization factor, no thermal factor.

Main lines, sorted by position (5 to 70 degrees two-theta):
33.34°, I = 61.7; 34.25°, I = 100.0; 35.45°, I = 52.9; 36.24°, I = 65.9; 37.99°, I = 29.0; 38.47°, I = 55.1; 43.11°, I = 71.3; 47.63°, I = 28.7

Crystal structure
Lattice parameters (Å, degrees): 6.162 6.162 5.817 90.00 90.00 79.53
Positions (direct):
Pm1 0.148 0.852 0.750
Pm2 0.852 0.148 0.250
Ga1 0.046 0.600 0.250
Ga2 0.400 0.954 0.250
Ga3 0.473 0.527 0.250
Ga4 0.527 0.473 0.750
Ga5 0.600 0.046 0.750
Ga6 0.954 0.400 0.750
Ru1 0.284 0.284 0.000
Ru2 0.284 0.284 0.500
Ru3 0.716 0.716 0.000
Ru4 0.716 0.716 0.500

***

6.
For HoRe4Si4, a structure optimized by DFT (PBE) gives the simulated powder XRD pattern in this record (Cu Kα (λ = 1.5418 Å)).
Kinematic intensities with the Lorentz-polarization factor, no thermal factor.

Main lines, sorted by position (5 to 70 degrees two-theta):
15.56°, I = 44.5; 31.24°, I = 100.0; 35.24°, I = 79.5; 36.87°, I = 28.7; 39.82°, I = 46.6; 44.90°, I = 55.3; 51.57°, I = 26.2; 65.52°, I = 29.7

Crystal structure
Lattice parameters (Å, degrees): 8.054 8.054 4.718 90.00 90.00 90.00
Positions (direct):
Ho1 0.250 0.250 0.250
Ho2 0.750 0.750 0.750
Re1 0.121 0.871 0.656
Re2 0.129 0.621 0.156
Re3 0.371 0.879 0.156
Re4 0.379 0.629 0.656
Re5 0.621 0.371 0.344
Re6 0.629 0.121 0.844
Re7 0.871 0.379 0.844
Re8 0.879 0.129 0.344
Si1 0.057 0.909 0.162
Si2 0.091 0.557 0.662
Si3 0.409 0.943 0.662
Si4 0.443 0.591 0.162
Si5 0.557 0.409 0.838
Si6 0.591 0.057 0.338
Si7 0.909 0.443 0.338
Si8 0.943 0.091 0.838